Record 1
Simulated powder XRD pattern of PaCuH8Rh4 for a wavelength of 1.5418 Å, from a crystal structure in Alexandria, relaxed with GGA-PBE.

Peak list (6 most intense, 5° ≤ 2θ ≤ 70°, low angle first)
- (1 1 0), 2θ = 30.61°, intensity 50.1
- (0 2 1), 2θ = 36.17°, intensity 100.0
- (1 1 3), 2θ = 37.03°, intensity 56.8
- (2 0 2), 2θ = 38.14°, intensity 78.3
- (0 1 5), 2θ = 38.70°, intensity 74.5
- (1 2 5), 2θ = 59.88°, intensity 42.5

Structure:
Cell lengths 5.8418, 5.8418, 13.1002 Å; angles 90.00, 90.00, 120.00 degrees
Space group R3m (No. 160, hexagonal axes)
Asymmetric unit:
Pa  0.0000  0.0000  0.0000 x3
Cu  0.0000  0.0000  0.3963 x3
H  0.0000  0.0000  0.1737 x3
H  0.0000  0.0000  0.6308 x3
H  0.0305  0.5152  0.1426 x9
H  0.2124  0.4247  0.9622 x9
Rh  0.0000  0.0000  0.8104 x3
Rh  0.1688  0.3376  0.2246 x9

***

Record 2
Simulated powder XRD pattern of PaCuH6Rh for a wavelength of 1.5418 Å, from a crystal structure in Alexandria, relaxed with GGA-PBE.

Peak list (6 most intense, 5° ≤ 2θ ≤ 70°, low angle first)
- (1 0 0), 2θ = 22.99°, intensity 19.9
- (1 0 1), 2θ = 31.21°, intensity 100.0
- (1 1 0), 2θ = 40.38°, intensity 40.2
- (2 0 1), 2θ = 51.90°, intensity 24.7
- (1 1 2), 2θ = 59.96°, intensity 25.5
- (2 1 1), 2θ = 67.74°, intensity 22.0

Structure:
Cell lengths 4.4677, 4.4677, 4.2662 Å; angles 90.00, 90.00, 120.00 degrees
Space group P-6m2 (No. 187)
Asymmetric unit:
Pa  0.0000  0.0000  0.0000 x1
Cu  0.3333  0.6667  0.5000 x1
H  0.0008  0.5004  0.2123 x6
Rh  0.6667  0.3333  0.5000 x1